(1)
Diffraction record for YTiGa5Ni2. The powder X-ray diffraction pattern is theoretical, not measured: it uses DFT lattice parameters and positions (PBE) and CuKα.
Kinematic intensities with the Lorentz-polarization factor, no thermal factor.

Largest 8 diffraction maxima, in order of rising 2θ, 2θ = 10–90°:
Position (°2θ)  I_rel
31.5  15
37.2  96
37.4  27
39.1  100
55.2  34
56.5  33
69.6  29
69.7  16

Cell and atoms:
```
9
Lattice="4.605 0.000 0.000 0.000 4.605 0.000 0.000 0.000 7.222" Properties=species:S:1:pos:R:3 pbc="T T T"
Y 0.000 0.000 0.000
Ti 0.000 0.000 3.611
Ga 0.000 2.303 2.080
Ga 0.000 2.303 5.142
Ga 2.303 0.000 2.080
Ga 2.303 0.000 5.142
Ga 2.303 2.303 0.000
Ni 2.303 2.303 2.416
Ni 2.303 2.303 4.806
```

---

(2)
Diffraction record for Tm3Ga2Ni. The powder X-ray diffraction pattern is theoretical, not measured: it uses DFT lattice parameters and positions (PBE) and CuKα.
Kinematic intensities with the Lorentz-polarization factor, no thermal factor.

Largest 8 diffraction maxima, in order of rising 2θ, 2θ = 10–90°:
Position (°2θ)  I_rel
27.4  50
28.7  41
31.0  39
32.6  100
35.7  74
38.9  37
42.4  55
52.0  39

Cell and atoms:
```
24
Lattice="11.427 0.000 0.000 0.000 4.261 0.000 0.000 0.000 10.806" Properties=species:S:1:pos:R:3 pbc="T T T"
Tm 0.572 1.065 1.411
Tm 1.365 3.196 6.102
Tm 2.558 1.065 8.722
Tm 3.156 3.196 3.319
Tm 4.349 1.065 0.699
Tm 5.141 3.196 6.814
Tm 6.286 1.065 3.992
Tm 7.078 3.196 10.107
Tm 8.271 1.065 7.487
Tm 8.869 3.196 2.084
Tm 10.062 1.065 4.704
Tm 10.854 3.196 9.395
Ga 0.206 3.196 3.378
Ga 2.193 3.196 0.085
Ga 3.521 1.065 5.488
Ga 5.507 1.065 8.781
Ga 5.920 3.196 2.024
Ga 7.906 3.196 5.318
Ga 9.234 1.065 10.721
Ga 11.220 1.065 7.427
Ni 1.408 1.065 4.111
Ni 4.305 3.196 9.514
Ni 7.122 1.065 1.292
Ni 10.019 3.196 6.695
```

---

(3)
Diffraction record for TmGa2Ni10. The powder X-ray diffraction pattern is theoretical, not measured: it uses DFT lattice parameters and positions (PBE) and CuKα.
Kinematic intensities with the Lorentz-polarization factor, no thermal factor.

Largest 8 diffraction maxima, in order of rising 2θ, 2θ = 10–90°:
Position (°2θ)  I_rel
30.7  17
37.1  16
37.8  46
43.4  72
43.8  45
44.2  100
48.9  15
80.7  30

Cell and atoms:
```
13
Lattice="0.000 5.758 5.833 2.423 0.000 5.833 2.423 5.758 0.000" Properties=species:S:1:pos:R:3 pbc="T T T"
Tm 0.000 0.000 0.000
Ga 1.211 0.000 2.917
Ga 1.211 5.758 2.917
Ni 1.211 2.879 0.000
Ni 2.423 2.046 3.796
Ni 2.423 4.475 4.556
Ni 2.423 2.046 7.871
Ni 2.423 4.475 7.111
Ni 1.211 2.879 5.833
Ni 2.423 7.042 4.556
Ni 2.423 9.470 3.796
Ni 2.423 7.042 7.111
Ni 2.423 9.470 7.871
```

---

(4)
Diffraction record for Tm3GaNi. The powder X-ray diffraction pattern is theoretical, not measured: it uses DFT lattice parameters and positions (PBE) and CuKα.
Kinematic intensities with the Lorentz-polarization factor, no thermal factor.

Largest 8 diffraction maxima, in order of rising 2θ, 2θ = 10–90°:
Position (°2θ)  I_rel
24.0  18
29.3  39
29.9  63
32.9  20
33.5  19
35.6  100
40.1  36
50.4  18

Cell and atoms:
```
10
Lattice="4.497 0.000 0.000 0.000 6.587 0.000 0.000 0.000 8.014" Properties=species:S:1:pos:R:3 pbc="T T T"
Tm 1.124 0.009 1.313
Tm 1.124 1.647 4.485
Tm 1.124 3.284 1.313
Tm 3.373 3.303 6.701
Tm 3.373 4.940 3.529
Tm 3.373 6.578 6.701
Ga 1.124 4.940 5.421
Ga 3.373 1.647 2.594
Ni 1.124 1.647 7.165
Ni 3.373 4.940 0.850
```

---

(5)
Diffraction record for Tm2Ga4Ni3. The powder X-ray diffraction pattern is theoretical, not measured: it uses DFT lattice parameters and positions (PBE) and CuKα.
Kinematic intensities with the Lorentz-polarization factor, no thermal factor.

Largest 8 diffraction maxima, in order of rising 2θ, 2θ = 10–90°:
Position (°2θ)  I_rel
34.6  35
34.9  20
35.1  45
40.1  20
40.8  100
41.3  31
45.5  34
66.2  23

Cell and atoms:
```
9
Lattice="0.000 4.540 6.244 2.590 0.000 6.244 2.590 4.540 0.000" Properties=species:S:1:pos:R:3 pbc="T T T"
Tm 2.590 4.540 1.578
Tm 2.590 4.540 10.911
Ga 2.590 3.000 4.231
Ga 2.590 3.000 8.258
Ga 2.590 6.080 4.231
Ga 2.590 6.080 8.258
Ni 1.295 2.270 0.000
Ni 1.295 2.270 6.244
Ni 2.590 4.540 6.244
```

---

(6)
Diffraction record for Tm2Ga5Ni3. The powder X-ray diffraction pattern is theoretical, not measured: it uses DFT lattice parameters and positions (PBE) and CuKα.
Kinematic intensities with the Lorentz-polarization factor, no thermal factor.

Largest 8 diffraction maxima, in order of rising 2θ, 2θ = 10–90°:
Position (°2θ)  I_rel
35.5  20
36.6  69
36.8  100
39.9  30
40.1  28
43.6  39
44.3  17
70.6  19

Cell and atoms:
```
20
Lattice="2.075 -12.028 0.000 2.075 12.028 0.000 0.000 0.000 6.517" Properties=species:S:1:pos:R:3 pbc="T T T"
Tm 2.075 11.572 3.258
Tm 2.075 4.184 3.020
Tm 2.075 -4.184 6.278
Tm 2.075 -11.572 0.000
Ga 2.075 9.621 0.984
Ga 2.075 7.068 4.289
Ga 2.075 6.957 1.661
Ga 2.075 3.005 6.458
Ga 2.075 1.261 2.084
Ga 2.075 -1.261 5.343
Ga 2.075 -3.005 3.200
Ga 2.075 -6.957 4.919
Ga 2.075 -7.068 1.031
Ga 2.075 -9.621 4.242
Ni 2.075 9.449 4.979
Ni 2.075 5.453 6.215
Ni 2.075 1.195 4.657
Ni 2.075 -1.195 1.399
Ni 2.075 -5.453 2.957
Ni 2.075 -9.449 1.721
```